Starting from a cell relaxed with PBE, the powder XRD pattern of PuCNO5 was calculated for copper Kα.
Kinematic intensities with the Lorentz-polarization factor, no thermal factor.

Most intense lines, 2θ from 10° to 90°, low angle first:
Position (°2θ), Rel. int.
16.2, 69
20.3, 26
21.9, 100
26.1, 31
32.0, 23
32.8, 15
35.6, 22
39.3, 18
42.1, 22
49.1, 18

Atomic structure:
a = 5.0490 Å, b = 5.0490 Å, c = 10.9258 Å
α = 90.00°, β = 90.00°, γ = 119.80°
Fractional positions:
Pu 0.1668 0.8332 0.7500
Pu 0.8332 0.1668 0.2500
C 0.1666 0.8334 0.2500
C 0.8334 0.1666 0.7500
N 0.5000 0.5000 0.0000
N 0.5000 0.5000 0.5000
O 0.1277 0.3132 0.7500
O 0.1667 0.8333 0.5882
O 0.1667 0.8333 0.9118
O 0.3132 0.1277 0.2500
O 0.3144 0.6856 0.2500
O 0.6856 0.3144 0.7500
O 0.6868 0.8723 0.7500
O 0.8333 0.1667 0.0882
O 0.8333 0.1667 0.4118
O 0.8723 0.6868 0.2500